[1]
Structure and computed powder XRD pattern of LiMn6O4F8 (the GGA+U geometry in the Materials Project; Cu Kα X-rays).
Kinematic intensities with the Lorentz-polarization factor, no thermal factor.

Largest 10 diffraction maxima, by intensity, 2θ = 15–90°:
| hkl | d (Å) | two_theta | I_rel |
| --- | --- | --- | --- |
| 1 1 1 | 3.584 | 24.84 | 100 |
| -1 1 1 | 3.371 | 26.44 | 96 |
| 0 0 3 | 2.665 | 33.63 | 52 |
| -1 1 4 | 1.766 | 51.76 | 35 |
| 2 2 2 | 1.793 | 50.93 | 30 |
| 1 -1 2 | 2.694 | 33.26 | 29 |
| 0 2 -1 | 2.646 | 33.88 | 29 |
| 1 -2 1 | 2.312 | 38.95 | 20 |
| 0 2 -4 | 1.588 | 58.07 | 19 |
| 1 3 0 | 1.815 | 50.26 | 16 |

```
data_LiMn6O4F8
_space_group_name_H-M_alt 'P 1'
_space_group_IT_number 1
_cell_length_a 5.0039
_cell_length_b 5.7710
_cell_length_c 8.0180
_cell_angle_alpha 85.81
_cell_angle_beta 87.37
_cell_angle_gamma 87.41
loop_
_space_group_symop_operation_xyz
'x,y,z'
loop_
_atom_site_label
_atom_site_fract_x
_atom_site_fract_y
_atom_site_fract_z
Li1 0.0000 0.0000 0.0000
Mn1 0.0102 0.3798 0.1789
Mn2 0.4786 0.8601 0.1758
Mn3 0.4831 0.1674 0.8277
Mn4 0.5433 0.5220 0.4929
Mn5 0.9479 0.0198 0.5041
Mn6 0.9587 0.6361 0.7955
O1 0.3087 0.1379 0.0737
O2 0.6611 0.5694 0.2654
O3 0.6727 0.2131 0.5929
O4 0.7806 0.7394 0.5818
F1 0.1467 0.9765 0.7565
F2 0.1567 0.3032 0.4206
F3 0.1708 0.6790 0.0539
F4 0.2633 0.8274 0.4024
F5 0.3291 0.4970 0.7204
F6 0.6864 0.8490 0.9411
F7 0.8072 0.0473 0.2398
F8 0.8334 0.3337 0.9330
```

=====

[2]
Structure and computed powder XRD pattern of Li5MnO3F (the GGA+U geometry in the Materials Project; Cu Kα X-rays).
Kinematic intensities with the Lorentz-polarization factor, no thermal factor.

Largest 10 diffraction maxima, by intensity, 2θ = 15–90°:
| hkl | d (Å) | two_theta | I_rel |
| --- | --- | --- | --- |
| 1 0 3 | 3.449 | 25.83 | 100 |
| 1 3 1 | 2.173 | 41.55 | 49 |
| 0 0 8 | 1.664 | 55.19 | 17 |
| 2 -1 4 | 1.848 | 49.31 | 15 |
| 1 1 -1 | 3.817 | 23.30 | 12 |
| 0 2 2 | 3.025 | 29.53 | 11 |
| 1 0 -3 | 2.988 | 29.90 | 11 |
| 2 0 -2 | 2.086 | 43.37 | 9 |
| 0 4 0 | 1.662 | 55.27 | 9 |
| 1 -4 3 | 1.405 | 66.55 | 9 |

```
data_Li5MnO3F
_space_group_name_H-M_alt 'P -1'
_space_group_IT_number 2
_cell_length_a 4.7468
_cell_length_b 6.7856
_cell_length_c 13.4737
_cell_angle_alpha 85.99
_cell_angle_beta 81.27
_cell_angle_gamma 78.69
loop_
_space_group_symop_operation_xyz
'x,y,z'
'-x,-y,-z'
loop_
_atom_site_label
_atom_site_fract_x
_atom_site_fract_y
_atom_site_fract_z
Li1 0.0462 0.4163 0.0780
Li2 0.0829 0.3424 0.5404
Li3 0.1667 0.1519 0.7058
Li4 0.2065 0.0899 0.1744
Li5 0.2068 0.1386 0.9284
Li6 0.2872 0.9159 0.3291
Li7 0.3151 0.8522 0.5719
Li8 0.3450 0.8396 0.7875
Li9 0.4344 0.6520 0.9534
Li10 0.4412 0.5797 0.4222
Mn1 0.0453 0.3779 0.3138
Mn2 0.4787 0.6148 0.1947
O1 0.0510 0.8865 0.6977
O2 0.1568 0.6428 0.3280
O3 0.1982 0.5979 0.5558
O4 0.2982 0.3991 0.9510
O5 0.3032 0.3520 0.1825
O6 0.4486 0.0965 0.7968
F1 0.0799 0.8562 0.9266
F2 0.4357 0.1447 0.5711
```

=====

[3]
Structure and computed powder XRD pattern of Li2MnO2F (the GGA+U geometry in the Materials Project; Cu Kα X-rays).
Kinematic intensities with the Lorentz-polarization factor, no thermal factor.

Largest 10 diffraction maxima, by intensity, 2θ = 15–90°:
| hkl | d (Å) | two_theta | I_rel |
| --- | --- | --- | --- |
| 1 0 0 | 4.475 | 19.84 | 100 |
| 1 1 0 | 4.214 | 21.08 | 58 |
| 1 -1 0 | 2.640 | 33.95 | 55 |
| 2 2 2 | 2.031 | 44.61 | 29 |
| 1 1 -2 | 1.927 | 47.16 | 26 |
| 3 1 2 | 1.610 | 57.23 | 19 |
| 2 0 0 | 2.237 | 40.31 | 18 |
| 0 2 -2 | 1.557 | 59.37 | 17 |
| 0 0 2 | 2.602 | 34.46 | 14 |
| 1 0 -1 | 3.113 | 28.67 | 13 |

```
data_Li2MnO2F
_space_group_name_H-M_alt 'P -1'
_space_group_IT_number 2
_cell_length_a 5.2249
_cell_length_b 5.2319
_cell_length_c 5.5735
_cell_angle_alpha 71.99
_cell_angle_beta 72.04
_cell_angle_gamma 60.66
loop_
_space_group_symop_operation_xyz
'x,y,z'
'-x,-y,-z'
loop_
_atom_site_label
_atom_site_fract_x
_atom_site_fract_y
_atom_site_fract_z
Li1 0.1024 0.2389 0.4159
Li2 0.2387 0.1033 0.9148
Mn1 0.4688 0.5314 0.7511
O1 0.3047 0.3860 0.5852
O2 0.3852 0.3041 0.0854
F1 0.0383 0.9615 0.7504
```

=====

[4]
Structure and computed powder XRD pattern of Li3Mn3O5F3 (the GGA+U geometry in the Materials Project; Cu Kα X-rays).
Kinematic intensities with the Lorentz-polarization factor, no thermal factor.

Largest 10 diffraction maxima, by intensity, 2θ = 15–90°:
| hkl | d (Å) | two_theta | I_rel |
| --- | --- | --- | --- |
| 0 0 1 | 4.913 | 18.06 | 100 |
| 0 2 -2 | 2.152 | 41.99 | 25 |
| 2 0 0 | 2.126 | 42.52 | 24 |
| -2 2 2 | 2.050 | 44.17 | 21 |
| 0 2 -1 | 2.594 | 34.58 | 20 |
| 2 0 -1 | 2.553 | 35.15 | 14 |
| 1 0 -1 | 4.874 | 18.20 | 14 |
| 2 -2 2 | 1.496 | 62.05 | 13 |
| -2 2 1 | 2.457 | 36.58 | 13 |
| 0 1 1 | 2.994 | 29.84 | 11 |

```
data_Li3Mn3O5F3
_space_group_name_H-M_alt 'P 1'
_space_group_IT_number 1
_cell_length_a 5.8184
_cell_length_b 5.9059
_cell_length_c 5.9877
_cell_angle_alpha 92.75
_cell_angle_beta 119.07
_cell_angle_gamma 117.11
loop_
_space_group_symop_operation_xyz
'x,y,z'
loop_
_atom_site_label
_atom_site_fract_x
_atom_site_fract_y
_atom_site_fract_z
Li1 0.0000 0.0000 0.0000
Li2 0.2318 0.5970 0.8753
Li3 0.4867 0.2080 0.7525
Mn1 0.2403 0.6027 0.3797
Mn2 0.7406 0.1074 0.3860
Mn3 0.7407 0.5910 0.3926
O1 0.1888 0.8060 0.5891
O2 0.2930 0.4012 0.1686
O3 0.7097 0.8499 0.5818
O4 0.7488 0.3641 0.6013
O5 0.7711 0.3540 0.1817
F1 0.2346 0.8450 0.1104
F2 0.2491 0.3581 0.6454
F3 0.7342 0.8483 0.1481
```

=====

[5]
Structure and computed powder XRD pattern of LiMn6O4F8 (the GGA+U geometry in the Materials Project; Cu Kα X-rays).
Kinematic intensities with the Lorentz-polarization factor, no thermal factor.

Largest 10 diffraction maxima, by intensity, 2θ = 15–90°:
| hkl | d (Å) | two_theta | I_rel |
| --- | --- | --- | --- |
| 1 1 1 | 3.856 | 23.06 | 100 |
| -1 1 1 | 3.379 | 26.38 | 71 |
| 0 2 -1 | 2.652 | 33.80 | 37 |
| -2 1 1 | 2.206 | 40.91 | 28 |
| 0 0 3 | 2.703 | 33.14 | 27 |
| 2 1 3 | 1.902 | 47.83 | 19 |
| 0 2 -4 | 1.596 | 57.75 | 19 |
| 1 1 -2 | 2.816 | 31.77 | 18 |
| 1 -3 0 | 1.731 | 52.89 | 16 |
| 1 0 -1 | 4.390 | 20.23 | 16 |

```
data_LiMn6O4F8
_space_group_name_H-M_alt 'P 1'
_space_group_IT_number 1
_cell_length_a 5.3325
_cell_length_b 5.8636
_cell_length_c 8.1431
_cell_angle_alpha 84.89
_cell_angle_beta 88.36
_cell_angle_gamma 81.63
loop_
_space_group_symop_operation_xyz
'x,y,z'
loop_
_atom_site_label
_atom_site_fract_x
_atom_site_fract_y
_atom_site_fract_z
Li1 0.0000 0.0000 0.0000
Mn1 0.1832 0.5092 0.5775
Mn2 0.2905 0.9251 0.3084
Mn3 0.4540 0.2175 0.8902
Mn4 0.7040 0.6658 0.9242
Mn5 0.7598 0.3831 0.2621
Mn6 0.8178 0.0619 0.5877
O1 0.0773 0.8467 0.5128
O2 0.6125 0.3994 0.0477
O3 0.7844 0.9533 0.8214
O4 0.9244 0.3378 0.4699
F1 0.0604 0.1929 0.1703
F2 0.0752 0.3924 0.8269
F3 0.3648 0.9048 0.0256
F4 0.4488 0.2011 0.6265
F5 0.4544 0.5731 0.3532
F6 0.5164 0.5918 0.7426
F7 0.6149 0.0678 0.3373
F8 0.8928 0.7122 0.1191
```

=====

[6]
Structure and computed powder XRD pattern of Li2MnO2F (the GGA+U geometry in the Materials Project; Cu Kα X-rays).
Kinematic intensities with the Lorentz-polarization factor, no thermal factor.

Largest 10 diffraction maxima, by intensity, 2θ = 15–90°:
| hkl | d (Å) | two_theta | I_rel |
| --- | --- | --- | --- |
| 1 1 -1 | 4.278 | 20.76 | 100 |
| 1 3 -3 | 2.100 | 43.08 | 75 |
| 0 2 2 | 3.275 | 27.23 | 45 |
| 2 0 2 | 2.109 | 42.88 | 39 |
| 1 3 5 | 1.483 | 62.63 | 28 |
| 1 1 1 | 3.811 | 23.34 | 25 |
| 0 2 0 | 4.443 | 19.98 | 20 |
| 3 3 -1 | 1.492 | 62.21 | 17 |
| 1 1 3 | 2.437 | 36.88 | 16 |
| 2 2 0 | 2.212 | 40.79 | 11 |

```
data_Li2MnO2F
_space_group_name_H-M_alt 'C 1 2 1'
_space_group_IT_number 5
_cell_length_a 5.1811
_cell_length_b 8.8919
_cell_length_c 9.8396
_cell_angle_alpha 90.00
_cell_angle_beta 100.12
_cell_angle_gamma 90.00
loop_
_space_group_symop_operation_xyz
'x,y,z'
'-x,y,-z'
'x+1/2,y+1/2,z'
'-x+1/2,y+1/2,-z'
loop_
_atom_site_label
_atom_site_fract_x
_atom_site_fract_y
_atom_site_fract_z
Li1 0.0000 0.0000 0.0000
Li2 0.0000 0.1446 0.5000
Li3 0.0000 0.4979 0.5000
Li4 0.0000 0.6780 0.0000
Li5 0.2184 0.8394 0.2517
Li6 0.2463 0.6632 0.7560
Mn1 0.0000 0.3600 0.0000
Mn2 0.0000 0.8130 0.5000
Mn3 0.2266 0.5027 0.2547
O1 0.0664 0.9740 0.3742
O2 0.1063 0.6569 0.3756
O3 0.1120 0.5055 0.8657
O4 0.1692 0.8548 0.8768
F1 0.0895 0.3163 0.3768
F2 0.1315 0.1777 0.8815
```